For CaHI2, the PBE geometry in Alexandria gives the theoretical powder diffractogram in this record (Cu Ka).
Peak positions follow from Bragg's law for the DFT cell and can differ from measured ones.

Principal peaks in the range 15° ≤ 2θ ≤ 90°, low angle first:
(hkl), Position (°2θ), intensity
0 0 2, 19.5, 47
1 1 -1, 22.7, 28
1 -1 1, 24.6, 97
0 2 0, 24.8, 100
-1 1 1, 24.9, 100
1 1 1, 29.9, 59
0 2 -3, 30.1, 55
-1 1 2, 30.3, 53
1 -1 3, 37.2, 27
0 2 2, 37.4, 27
1 1 -4, 37.8, 27
1 -3 1, 39.9, 85

Cell: 4.5136 7.8281 10.1227 Å, 112.58 101.86 90.09°
Atoms (fractional coordinates):
Ca: 0.2490 0.2496 0.4986
Ca: 0.7510 0.7504 0.5014
H: 0.0467 0.0268 0.9865
H: 0.9533 0.9732 0.0135
I: 0.1597 0.4878 0.3049
I: 0.3412 0.0157 0.6955
I: 0.6588 0.9843 0.3045
I: 0.8403 0.5122 0.6951